[1]
Starting from a GGA-PBE-relaxed structure, the powder XRD pattern of TmSb6S8I4 was calculated for Cu Ka.
Peak positions follow from Bragg's law for the DFT cell and can differ from measured ones.

Cell and atoms:
Cell lengths 7.653, 8.973, 8.994 Å; angles 89.59, 71.75, 83.63 degrees
Fractional positions:
Tm1 0.000 0.000 0.000
Sb1 0.228 0.697 0.210
Sb2 0.231 0.070 0.563
Sb3 0.239 0.356 0.844
Sb4 0.761 0.644 0.156
Sb5 0.769 0.930 0.437
Sb6 0.772 0.303 0.790
S1 0.083 0.693 0.980
S2 0.086 0.989 0.272
S3 0.092 0.355 0.614
S4 0.334 0.071 0.811
S5 0.666 0.929 0.189
S6 0.908 0.645 0.386
S7 0.914 0.011 0.728
S8 0.917 0.307 0.020
I1 0.353 0.344 0.152
I2 0.360 0.716 0.525
I3 0.640 0.284 0.475
I4 0.647 0.656 0.848

Most intense lines, 15° ≤ 2θ ≤ 90°, most intense first:
2θ = 30.38°, intensity 100, hkl 2 1 -1; 2θ = 30.08°, intensity 73, hkl 0 3 0; 2θ = 29.91°, intensity 54, hkl 1 0 3; 2θ = 24.64°, intensity 46, hkl 2 0 0; 2θ = 48.19°, intensity 46, hkl 2 4 -1; 2θ = 28.52°, intensity 42, hkl -1 2 1; 2θ = 27.90°, intensity 40, hkl 2 1 2; 2θ = 33.41°, intensity 39, hkl 2 0 3; 2θ = 33.92°, intensity 34, hkl 1 -3 0; 2θ = 42.55°, intensity 30, hkl 1 3 3


[2]
Starting from a GGA-PBE-relaxed structure, the powder XRD pattern of ZrScS2I2 was calculated for Cu Ka.
Peak positions follow from Bragg's law for the DFT cell and can differ from measured ones.

Cell and atoms:
Cell lengths 3.900, 5.127, 9.036 Å; angles 90.00, 90.00, 90.00 degrees
Fractional positions:
Zr1 0.000 0.000 0.000
Sc1 0.500 0.500 0.812
S1 0.000 0.500 0.004
S2 0.500 0.000 0.814
I1 0.000 0.500 0.573
I2 0.500 0.000 0.247

Most intense lines, 15° ≤ 2θ ≤ 90°, most intense first:
2θ = 19.91°, intensity 100, hkl 0 1 1; 2θ = 30.28°, intensity 92, hkl 1 0 2; 2θ = 35.02°, intensity 54, hkl 0 2 0; 2θ = 46.94°, intensity 52, hkl 1 2 2; 2θ = 30.45°, intensity 39, hkl 1 1 1; 2θ = 41.79°, intensity 31, hkl 1 1 3; 2θ = 26.29°, intensity 20, hkl 0 1 2; 2θ = 28.76°, intensity 20, hkl 1 1 0; 2θ = 46.58°, intensity 16, hkl 2 0 0; 2θ = 51.13°, intensity 16, hkl 2 1 1


[3]
Starting from a GGA-PBE-relaxed structure, the powder XRD pattern of Zr2SeS2I was calculated for Cu Ka.
Peak positions follow from Bragg's law for the DFT cell and can differ from measured ones.

Cell and atoms:
Cell lengths 3.747, 6.467, 13.653 Å; angles 90.00, 90.00, 90.00 degrees
Fractional positions:
Zr1 0.000 0.011 0.000
Zr2 0.000 0.455 0.498
Zr3 0.500 0.545 0.998
Zr4 0.500 0.989 0.500
Se1 0.000 0.800 0.386
Se2 0.500 0.200 0.886
S1 0.000 0.137 0.609
S2 0.000 0.692 0.891
S3 0.500 0.308 0.391
S4 0.500 0.863 0.109
I1 0.000 0.365 0.145
I2 0.500 0.635 0.645

Most intense lines, 15° ≤ 2θ ≤ 90°, most intense first:
2θ = 33.96°, intensity 100, hkl 1 1 3; 2θ = 30.54°, intensity 82, hkl 1 1 2; 2θ = 28.33°, intensity 38, hkl 0 2 1; 2θ = 43.33°, intensity 38, hkl 1 1 5; 2θ = 49.22°, intensity 31, hkl 1 3 1; 2θ = 38.34°, intensity 26, hkl 0 2 4; 2θ = 48.92°, intensity 24, hkl 1 1 6; 2θ = 23.91°, intensity 18, hkl 0 1 3; 2θ = 48.60°, intensity 17, hkl 2 0 0; 2θ = 24.64°, intensity 13, hkl 1 0 1


[4]
Starting from a GGA-PBE-relaxed structure, the powder XRD pattern of Zr2SeSI2 was calculated for Cu Ka.
Peak positions follow from Bragg's law for the DFT cell and can differ from measured ones.

Cell and atoms:
Cell lengths 3.883, 6.849, 14.057 Å; angles 90.00, 90.00, 90.00 degrees
Fractional positions:
Zr1 0.000 0.025 0.000
Zr2 0.000 0.586 0.485
Zr3 0.500 0.414 0.985
Zr4 0.500 0.975 0.500
Se1 0.000 0.871 0.617
Se2 0.500 0.129 0.117
S1 0.000 0.314 0.884
S2 0.500 0.686 0.384
I1 0.000 0.197 0.373
I2 0.000 0.638 0.113
I3 0.500 0.362 0.613
I4 0.500 0.803 0.873

Most intense lines, 15° ≤ 2θ ≤ 90°, most intense first:
2θ = 29.34°, intensity 100, hkl 1 1 2; 2θ = 32.68°, intensity 76, hkl 1 1 3; 2θ = 41.80°, intensity 45, hkl 1 1 5; 2θ = 32.38°, intensity 34, hkl 0 2 3; 2θ = 26.80°, intensity 33, hkl 0 2 1; 2θ = 47.21°, intensity 30, hkl 1 1 6; 2θ = 46.60°, intensity 28, hkl 1 3 1; 2θ = 36.64°, intensity 23, hkl 0 2 4; 2θ = 46.80°, intensity 23, hkl 2 0 0; 2θ = 23.00°, intensity 23, hkl 0 1 3


[5]
Starting from a GGA-PBE-relaxed structure, the powder XRD pattern of Zr2SeSI2 was calculated for Cu Ka.
Peak positions follow from Bragg's law for the DFT cell and can differ from measured ones.

Cell and atoms:
Cell lengths 3.761, 6.492, 15.861 Å; angles 90.00, 90.00, 90.00 degrees
Fractional positions:
Zr1 0.000 0.023 0.000
Zr2 0.000 0.461 0.499
Zr3 0.500 0.539 0.999
Zr4 0.500 0.977 0.500
Se1 0.000 0.798 0.400
Se2 0.500 0.202 0.900
S1 0.000 0.135 0.589
S2 0.500 0.865 0.089
I1 0.000 0.366 0.126
I2 0.000 0.699 0.870
I3 0.500 0.301 0.370
I4 0.500 0.634 0.626

Most intense lines, 15° ≤ 2θ ≤ 90°, most intense first:
2θ = 29.69°, intensity 100, hkl 1 1 2; 2θ = 32.32°, intensity 73, hkl 1 1 3; 2θ = 39.69°, intensity 42, hkl 1 1 5; 2θ = 35.74°, intensity 37, hkl 0 2 4; 2θ = 48.90°, intensity 31, hkl 1 3 1; 2θ = 44.15°, intensity 28, hkl 1 1 6; 2θ = 28.05°, intensity 23, hkl 0 2 1; 2θ = 48.41°, intensity 16, hkl 2 0 0; 2θ = 45.76°, intensity 13, hkl 0 0 8; 2θ = 29.14°, intensity 12, hkl 1 0 3


[6]
Starting from a GGA-PBE-relaxed structure, the powder XRD pattern of TbTmS2I2 was calculated for Cu Ka.
Peak positions follow from Bragg's law for the DFT cell and can differ from measured ones.

Cell and atoms:
Cell lengths 4.161, 5.337, 9.541 Å; angles 90.00, 90.00, 90.00 degrees
Fractional positions:
Tb1 0.000 0.000 0.000
Tm1 0.500 0.500 0.236
S1 0.000 0.500 0.055
S2 0.500 0.000 0.189
I1 0.000 0.500 0.465
I2 0.500 0.000 0.765

Most intense lines, 15° ≤ 2θ ≤ 90°, most intense first:
2θ = 19.06°, intensity 100, hkl 0 1 1; 2θ = 28.47°, intensity 91, hkl 1 0 2; 2θ = 44.59°, intensity 54, hkl 1 2 2; 2θ = 28.77°, intensity 50, hkl 1 1 1; 2θ = 39.46°, intensity 42, hkl 1 1 3; 2θ = 33.59°, intensity 32, hkl 0 2 0; 2θ = 47.89°, intensity 18, hkl 2 1 1; 2θ = 37.71°, intensity 16, hkl 0 0 4; 2θ = 43.50°, intensity 16, hkl 2 0 0; 2θ = 56.05°, intensity 15, hkl 2 2 0


[7]
Starting from a GGA-PBE-relaxed structure, the powder XRD pattern of Zr2SI3 was calculated for Cu Ka.
Peak positions follow from Bragg's law for the DFT cell and can differ from measured ones.

Cell and atoms:
Cell lengths 3.809, 6.892, 15.150 Å; angles 90.00, 90.00, 90.00 degrees
Fractional positions:
Zr1 0.000 0.026 0.000
Zr2 0.000 0.595 0.491
Zr3 0.500 0.405 0.991
Zr4 0.500 0.974 0.500
S1 0.000 0.306 0.891
S2 0.500 0.694 0.391
I1 0.000 0.200 0.387
I2 0.000 0.638 0.106
I3 0.000 0.868 0.640
I4 0.500 0.132 0.140
I5 0.500 0.362 0.606
I6 0.500 0.800 0.887

Most intense lines, 15° ≤ 2θ ≤ 90°, most intense first:
2θ = 29.27°, intensity 100, hkl 1 1 2; 2θ = 32.17°, intensity 71, hkl 1 1 3; 2θ = 40.22°, intensity 41, hkl 1 1 5; 2θ = 31.43°, intensity 39, hkl 0 2 3; 2θ = 26.53°, intensity 36, hkl 0 2 1; 2θ = 35.18°, intensity 29, hkl 0 2 4; 2θ = 45.04°, intensity 28, hkl 1 1 6; 2θ = 46.55°, intensity 25, hkl 1 3 1; 2θ = 47.75°, intensity 22, hkl 2 0 0; 2θ = 32.27°, intensity 21, hkl 0 1 5


[8]
Starting from a GGA-PBE-relaxed structure, the powder XRD pattern of SmTmSbI2 was calculated for Cu Ka.
Peak positions follow from Bragg's law for the DFT cell and can differ from measured ones.

Cell and atoms:
Cell lengths 4.350, 4.350, 11.244 Å; angles 90.00, 90.00, 120.00 degrees
Fractional positions:
Sm1 0.000 0.000 0.000
Tm1 0.333 0.667 0.302
Sb1 0.667 0.333 0.158
I1 0.000 0.000 0.471
I2 0.333 0.667 0.822

Most intense lines, 15° ≤ 2θ ≤ 90°, most intense first:
2θ = 28.52°, intensity 100, hkl 1 0 2; 2θ = 40.02°, intensity 35, hkl 0 1 4; 2θ = 41.52°, intensity 34, hkl 1 1 0; 2θ = 51.15°, intensity 20, hkl 0 2 2; 2θ = 67.91°, intensity 17, hkl 2 1 2; 2θ = 65.78°, intensity 14, hkl 1 1 6; 2θ = 59.04°, intensity 11, hkl 2 0 4; 2θ = 74.74°, intensity 11, hkl 1 2 4; 2θ = 33.73°, intensity 9, hkl 1 0 3; 2θ = 23.62°, intensity 9, hkl 1 0 0


[9]
Starting from a GGA-PBE-relaxed structure, the powder XRD pattern of TbTmSbI2 was calculated for Cu Ka.
Peak positions follow from Bragg's law for the DFT cell and can differ from measured ones.

Cell and atoms:
Cell lengths 4.317, 4.317, 11.144 Å; angles 90.00, 90.00, 120.00 degrees
Fractional positions:
Tb1 0.000 0.000 0.000
Tm1 0.333 0.667 0.301
Sb1 0.667 0.333 0.154
I1 0.000 0.000 0.473
I2 0.333 0.667 0.824

Most intense lines, 15° ≤ 2θ ≤ 90°, most intense first:
2θ = 28.76°, intensity 100, hkl 1 0 2; 2θ = 40.38°, intensity 35, hkl 0 1 4; 2θ = 41.85°, intensity 34, hkl 1 1 0; 2θ = 51.57°, intensity 20, hkl 0 2 2; 2θ = 68.51°, intensity 17, hkl 2 1 2; 2θ = 66.40°, intensity 14, hkl 1 1 6; 2θ = 59.56°, intensity 11, hkl 2 0 4; 2θ = 75.43°, intensity 11, hkl 1 2 4; 2θ = 34.02°, intensity 10, hkl 1 0 3; 2θ = 23.80°, intensity 9, hkl 1 0 0


[10]
Starting from a GGA-PBE-relaxed structure, the powder XRD pattern of Sm4Se3I4 was calculated for Cu Ka.
Peak positions follow from Bragg's law for the DFT cell and can differ from measured ones.

Cell and atoms:
Cell lengths 4.324, 8.822, 9.329 Å; angles 90.00, 90.00, 90.00 degrees
Fractional positions:
Sm1 0.000 0.000 0.000
Sm2 0.000 0.500 0.080
Sm3 0.500 0.269 0.646
Sm4 0.500 0.731 0.646
Se1 0.000 0.300 0.846
Se2 0.000 0.700 0.846
Se3 0.500 0.000 0.812
I1 0.000 0.000 0.488
I2 0.000 0.500 0.468
I3 0.500 0.238 0.190
I4 0.500 0.762 0.190

Most intense lines, 15° ≤ 2θ ≤ 90°, most intense first:
2θ = 28.14°, intensity 100, hkl 1 0 2; 2θ = 28.91°, intensity 92, hkl 1 2 0; 2θ = 34.84°, intensity 83, hkl 1 2 2; 2θ = 27.84°, intensity 81, hkl 0 2 2; 2θ = 41.78°, intensity 39, hkl 2 0 0; 2θ = 50.40°, intensity 35, hkl 1 4 2; 2θ = 40.92°, intensity 33, hkl 0 4 0; 2θ = 50.95°, intensity 30, hkl 2 2 2; 2θ = 30.48°, intensity 28, hkl 1 2 1; 2θ = 59.92°, intensity 24, hkl 2 4 0


[11]
Starting from a GGA-PBE-relaxed structure, the powder XRD pattern of Ta3SeI7 was calculated for Cu Ka.
Peak positions follow from Bragg's law for the DFT cell and can differ from measured ones.

Cell and atoms:
Cell lengths 7.635, 7.635, 14.321 Å; angles 90.00, 90.00, 120.00 degrees
Fractional positions:
Ta1 0.130 0.260 0.000
Ta2 0.130 0.870 0.000
Ta3 0.260 0.130 0.500
Ta4 0.740 0.870 0.000
Ta5 0.870 0.130 0.500
Ta6 0.870 0.740 0.500
Se1 0.000 0.000 0.132
Se2 0.000 0.000 0.632
I1 0.004 0.502 0.608
I2 0.168 0.336 0.369
I3 0.168 0.832 0.369
I4 0.333 0.667 0.900
I5 0.336 0.168 0.869
I6 0.498 0.502 0.608
I7 0.498 0.996 0.608
I8 0.502 0.004 0.108
I9 0.502 0.498 0.108
I10 0.664 0.832 0.369
I11 0.667 0.333 0.400
I12 0.832 0.168 0.869
I13 0.832 0.664 0.869
I14 0.996 0.498 0.108

Most intense lines, 15° ≤ 2θ ≤ 90°, most intense first:
2θ = 29.77°, intensity 100, hkl 2 0 2; 2θ = 32.96°, intensity 82, hkl 2 0 3; 2θ = 41.72°, intensity 42, hkl 2 0 5; 2θ = 47.64°, intensity 39, hkl 2 2 0; 2θ = 46.95°, intensity 29, hkl 2 0 6; 2θ = 27.69°, intensity 23, hkl 2 0 1; 2θ = 18.26°, intensity 21, hkl 1 0 2; 2θ = 37.01°, intensity 19, hkl 2 0 4; 2θ = 36.50°, intensity 18, hkl 2 1 1; 2θ = 28.35°, intensity 15, hkl 1 0 4


[12]
Starting from a GGA-PBE-relaxed structure, the powder XRD pattern of Tc3Se4I was calculated for Cu Ka.
Peak positions follow from Bragg's law for the DFT cell and can differ from measured ones.

Cell and atoms:
Cell lengths 6.627, 12.111, 11.350 Å; angles 90.00, 115.18, 90.00 degrees
Fractional positions:
Tc1 0.036 0.144 0.449
Tc2 0.036 0.356 0.949
Tc3 0.042 0.056 0.662
Tc4 0.042 0.444 0.162
Tc5 0.304 0.523 0.061
Tc6 0.304 0.977 0.561
Tc7 0.696 0.023 0.439
Tc8 0.696 0.477 0.939
Tc9 0.958 0.556 0.838
Tc10 0.958 0.944 0.338
Tc11 0.964 0.644 0.051
Tc12 0.964 0.856 0.551
Se1 0.220 0.710 0.956
Se2 0.220 0.790 0.456
Se3 0.268 0.067 0.340
Se4 0.268 0.433 0.840
Se5 0.299 0.604 0.263
Se6 0.299 0.896 0.763
Se7 0.366 0.164 0.667
Se8 0.366 0.336 0.167
Se9 0.634 0.664 0.833
Se10 0.634 0.836 0.333
Se11 0.701 0.104 0.237
Se12 0.701 0.396 0.737
Se13 0.732 0.567 0.160
Se14 0.732 0.933 0.660
Se15 0.780 0.210 0.544
Se16 0.780 0.290 0.044
I1 0.112 0.133 0.909
I2 0.112 0.367 0.409
I3 0.888 0.633 0.591
I4 0.888 0.867 0.091

Most intense lines, 15° ≤ 2θ ≤ 90°, most intense first:
2θ = 41.22°, intensity 100, hkl 1 5 -2; 2θ = 40.59°, intensity 90, hkl 1 4 2; 2θ = 46.67°, intensity 87, hkl 2 5 -2; 2θ = 31.03°, intensity 86, hkl 2 2 -1; 2θ = 15.42°, intensity 79, hkl 1 1 -1; 2θ = 46.04°, intensity 79, hkl 2 4 1; 2θ = 28.09°, intensity 78, hkl 1 2 -3; 2θ = 51.15°, intensity 66, hkl 2 4 2; 2θ = 27.28°, intensity 56, hkl 1 0 2; 2θ = 42.91°, intensity 50, hkl 3 1 -1


[13]
Starting from a GGA-PBE-relaxed structure, the powder XRD pattern of TaI4 was calculated for Cu Ka.
Peak positions follow from Bragg's law for the DFT cell and can differ from measured ones.

Cell and atoms:
Cell lengths 7.475, 11.008, 11.126 Å; angles 81.15, 89.01, 74.68 degrees
Fractional positions:
Ta1 0.113 0.409 0.337
Ta2 0.188 0.173 0.222
Ta3 0.812 0.827 0.778
Ta4 0.887 0.591 0.663
I1 0.028 0.185 0.462
I2 0.066 0.951 0.833
I3 0.112 0.601 0.853
I4 0.200 0.617 0.221
I5 0.230 0.448 0.572
I6 0.339 0.210 0.005
I7 0.417 0.936 0.306
I8 0.471 0.259 0.331
I9 0.529 0.741 0.669
I10 0.583 0.064 0.694
I11 0.661 0.790 0.995
I12 0.770 0.552 0.428
I13 0.800 0.383 0.779
I14 0.888 0.399 0.147
I15 0.934 0.049 0.167
I16 0.972 0.815 0.538

Most intense lines, 15° ≤ 2θ ≤ 90°, most intense first:
2θ = 26.68°, intensity 100, hkl 2 2 1; 2θ = 27.03°, intensity 99, hkl 1 0 -3; 2θ = 27.60°, intensity 83, hkl 1 3 -1; 2θ = 41.39°, intensity 57, hkl 3 0 2; 2θ = 28.85°, intensity 50, hkl -2 1 1; 2θ = 25.81°, intensity 49, hkl 1 -2 1; 2θ = 28.50°, intensity 44, hkl 1 2 3; 2θ = 16.13°, intensity 40, hkl 0 0 2; 2θ = 41.14°, intensity 39, hkl 3 2 -2; 2θ = 38.24°, intensity 37, hkl 2 4 2